PmSi4Ni2: theoretical powder X-ray diffraction pattern (a wavelength of 1.5418 Å), based on DFT lattice parameters and positions (GGA-PBE).
Lines closer than 0.1° are merged.

Main lines, by angle (15° ≤ 2θ ≤ 90°):
2theta, I_rel
24.7, 31
30.6, 48
30.9, 87
37.4, 100
39.9, 39
45.1, 39

Structural model:
```
PmSi4Ni2
1.0
16.370 0.000 0.000
0.000 4.019 0.000
0.000 0.000 6.455
Pm Si Ni
4 16 8
Direct
0.113 0.250 0.001
0.387 0.750 0.501
0.613 0.250 0.499
0.887 0.750 0.999
0.036 0.750 0.724
0.090 0.250 0.498
0.187 0.750 0.340
0.205 0.750 0.731
0.295 0.250 0.231
0.313 0.250 0.840
0.410 0.750 0.998
0.464 0.250 0.224
0.536 0.750 0.776
0.590 0.250 0.002
0.687 0.750 0.160
0.705 0.750 0.769
0.795 0.250 0.269
0.813 0.250 0.660
0.910 0.750 0.502
0.964 0.250 0.276
0.041 0.750 0.335
0.227 0.250 0.551
0.273 0.750 0.051
0.459 0.250 0.835
0.541 0.750 0.165
0.727 0.250 0.949
0.773 0.750 0.449
0.959 0.250 0.665
```